1.
Diffraction record for TbHoCo2Ge4. The powder diffractogram is computed, not measured: it uses a GGA-PBE-relaxed structure and Cu Kα (λ = 1.5418 Å).
Lines closer than 0.1° are merged.

Top 6 peaks for 10° ≤ 2θ ≤ 90°, by angle:
2θ/deg  I_rel
31.0  16
34.7  100
39.3  22
43.6  20
43.8  21
60.3  14

Cell and atoms:
abc: 4.1525 8.5167 8.5167
angles: 28.06 90.00 90.00
Atoms (fractional coordinates):
Tb 0.0000 0.0000 0.0000
Ho 0.5000 0.7824 0.7824
Co 0.0000 0.2104 0.2104
Co 0.5000 0.5721 0.5721
Ge 0.0000 0.3466 0.3466
Ge 0.0000 0.6407 0.6407
Ge 0.5000 0.1418 0.1418
Ge 0.5000 0.4358 0.4358

---

2.
Diffraction record for Ho4TlCo2Ge4. The powder diffractogram is computed, not measured: it uses a GGA-PBE-relaxed structure and Cu Kα (λ = 1.5418 Å).
Lines closer than 0.1° are merged.

Top 6 peaks for 10° ≤ 2θ ≤ 90°, by angle:
2θ/deg  I_rel
33.5  83
34.6  100
34.8  37
36.2  50
37.3  35
43.1  71

Cell and atoms:
abc: 8.0175 8.0175 7.0603
angles: 107.51 107.51 30.39
Atoms (fractional coordinates):
Ho 0.0906 0.0906 0.3888
Ho 0.1547 0.1547 0.9399
Ho 0.8453 0.8453 0.0601
Ho 0.9094 0.9094 0.6112
Tl 0.5000 0.5000 0.0000
Co 0.2800 0.2800 0.3738
Co 0.7200 0.7200 0.6262
Ge 0.2925 0.2925 0.7292
Ge 0.4306 0.4306 0.3436
Ge 0.5694 0.5694 0.6564
Ge 0.7075 0.7075 0.2708